Starting from the PBE geometry in Alexandria, the X-ray powder pattern of SrLaI5 was computed for λ = 1.5418 Å (Cu Kα).
Lines closer than 0.1° are merged.

Cell and atoms:
```
SrLaI5
1.0
8.676 0.000 0.000
0.000 4.599 0.000
-0.460 0.000 15.179
Sr La I
2 2 10
Cartesian
0.273 1.150 5.363
7.944 3.450 9.817
3.882 3.450 2.429
4.334 1.150 12.750
1.155 1.150 11.252
1.485 1.150 1.934
1.533 3.450 7.299
2.549 3.450 14.260
3.875 1.150 4.782
4.342 3.450 10.397
5.667 1.150 0.920
6.684 1.150 7.881
6.732 3.450 13.245
7.061 3.450 3.927
```

Top 12 peaks for 15 to 90 degrees two-theta, by intensity:
2θ = 24.7°, intensity 100.0, (1 1 -2); 2θ = 30.9°, intensity 93.4, (2 1 2); 2θ = 30.5°, intensity 72.7, (0 1 4); 2θ = 39.2°, intensity 49.0, (0 2 0); 2θ = 26.7°, intensity 49.0, (2 0 -3); 2θ = 36.7°, intensity 46.3, (1 0 -6); 2θ = 28.3°, intensity 45.5, (2 1 0); 2θ = 29.0°, intensity 35.5, (2 1 1); 2θ = 32.5°, intensity 30.1, (1 1 4); 2θ = 26.2°, intensity 25.1, (0 1 3); 2θ = 23.9°, intensity 23.6, (2 0 2); 2θ = 37.1°, intensity 21.8, (3 1 -1)